Simulated powder X-ray diffraction pattern of CaTmAgPb for copper Kα, from a PBE-relaxed structure.
Lines closer than 0.1° are merged.

Most intense lines, 10 to 90 degrees two-theta, most intense first:
2θ (°)	I_rel	hkl
33.85	100.0	2 2 0
60.56	37.0	4 2 2
20.54	19.1	1 1 1
48.63	18.0	4 0 0
81.23	16.2	6 2 0
71.22	11.4	4 4 0
39.92	11.3	3 1 1
53.32	5.2	3 3 1
23.76	4.8	2 0 0
75.03	4.0	5 3 1

Crystal structure
Cell: 7.4898 7.4898 7.4898 Å, 90.00 90.00 90.00°
Fractional coordinates of all 16 atoms:
Ca1 0.0000 0.0000 0.0000
Ca2 0.0000 0.5000 0.5000
Ca3 0.5000 0.0000 0.5000
Ca4 0.5000 0.5000 0.0000
Tm1 0.0000 0.0000 0.5000
Tm2 0.0000 0.5000 0.0000
Tm3 0.5000 0.0000 0.0000
Tm4 0.5000 0.5000 0.5000
Ag1 0.2500 0.2500 0.7500
Ag2 0.2500 0.7500 0.2500
Ag3 0.7500 0.2500 0.2500
Ag4 0.7500 0.7500 0.7500
Pb1 0.2500 0.2500 0.2500
Pb2 0.2500 0.7500 0.7500
Pb3 0.7500 0.2500 0.7500
Pb4 0.7500 0.7500 0.2500